The following is a theoretical powder XRD pattern of PmHo4Hg. It was derived from a structure optimized by DFT (PBE), using Cu Kα, 1.54184 Å.
Kinematic intensities with the Lorentz-polarization factor, no thermal factor.

Crystal structure
```
data_PmHo4Hg
_chemical_formula_sum 'Pm1 Ho4 Hg1'
_cell_length_a 3.5770
_cell_length_b 3.5770
_cell_length_c 14.0009
_cell_angle_alpha 90.00
_cell_angle_beta 90.00
_cell_angle_gamma 90.00
_symmetry_space_group_name_H-M 'P 1'
_symmetry_Int_Tables_number 1
_symmetry_space_group_name_Hall 'P 1'
loop_
_atom_site_label
_atom_site_type_symbol
_atom_site_fract_x
_atom_site_fract_y
_atom_site_fract_z
Pm1 Pm 0.0000 0.0000 0.0000
Ho1 Ho 0.0000 0.0000 0.3577
Ho2 Ho 0.0000 0.0000 0.6423
Ho3 Ho 0.5000 0.5000 0.1802
Ho4 Ho 0.5000 0.5000 0.8198
Hg1 Hg 0.5000 0.5000 0.5000
```

Top 6 peaks for 10° ≤ 2θ ≤ 90°, sorted by position:
Position (°2θ), d [Å], intensity
31.51, 2.839, 100
35.49, 2.529, 40
38.58, 2.333, 11
51.07, 1.788, 14
53.42, 1.715, 17
61.25, 1.513, 30

The following is a theoretical powder XRD pattern of Cd2GaAg4. It was derived from a structure optimized by DFT (PBE), using Cu Kα, 1.54184 Å.
Kinematic intensities with the Lorentz-polarization factor, no thermal factor.

Crystal structure
```
data_Cd2GaAg4
_chemical_formula_sum 'Cd4 Ga2 Ag8'
_cell_length_a 5.9617
_cell_length_b 7.1099
_cell_length_c 7.3725
_cell_angle_alpha 113.12
_cell_angle_beta 102.30
_cell_angle_gamma 103.80
_symmetry_space_group_name_H-M 'P 1'
_symmetry_Int_Tables_number 1
_symmetry_space_group_name_Hall 'P 1'
loop_
_atom_site_label
_atom_site_type_symbol
_atom_site_fract_x
_atom_site_fract_y
_atom_site_fract_z
Cd1 Cd 0.0000 0.0000 0.0000
Cd2 Cd 0.0979 0.5221 0.8459
Cd3 Cd 0.5915 0.5141 0.8342
Cd4 Cd 0.7834 0.8600 0.2909
Ga1 Ga 0.3169 0.7074 0.5567
Ga2 Ga 0.6409 0.2524 0.3987
Ag1 Ag 0.1642 0.2867 0.4368
Ag2 Ag 0.2070 0.0951 0.7093
Ag3 Ag 0.2792 0.8707 0.2836
Ag4 Ag 0.3952 0.4407 0.1713
Ag5 Ag 0.4900 0.9670 0.9819
Ag6 Ag 0.7032 0.0962 0.6977
Ag7 Ag 0.8187 0.6780 0.5743
Ag8 Ag 0.8869 0.4290 0.1609
```

Top 6 peaks for 10° ≤ 2θ ≤ 90°, sorted by position:
Position (°2θ), d [Å], intensity
36.64, 2.452, 30
37.34, 2.408, 46
37.81, 2.380, 100
38.19, 2.356, 59
38.87, 2.317, 39
39.90, 2.259, 54

The following is a theoretical powder XRD pattern of Pm2Ag15Hg2. It was derived from a structure optimized by DFT (PBE), using Cu Kα, 1.54184 Å.
Kinematic intensities with the Lorentz-polarization factor, no thermal factor.

Crystal structure
```
data_Pm2Ag15Hg2
_chemical_formula_sum 'Pm2 Ag15 Hg2'
_cell_length_a 7.3641
_cell_length_b 7.3641
_cell_length_c 7.3641
_cell_angle_alpha 83.01
_cell_angle_beta 83.01
_cell_angle_gamma 83.01
_symmetry_space_group_name_H-M 'P 1'
_symmetry_Int_Tables_number 1
_symmetry_space_group_name_Hall 'P 1'
loop_
_atom_site_label
_atom_site_type_symbol
_atom_site_fract_x
_atom_site_fract_y
_atom_site_fract_z
Pm1 Pm 0.1500 0.1500 0.1500
Pm2 Pm 0.8500 0.8500 0.8500
Ag1 Ag 0.0000 0.5000 0.5000
Ag2 Ag 0.1494 0.1494 0.6631
Ag3 Ag 0.1494 0.6631 0.1494
Ag4 Ag 0.1899 0.5000 0.8101
Ag5 Ag 0.1899 0.8101 0.5000
Ag6 Ag 0.3369 0.8506 0.8506
Ag7 Ag 0.5000 0.0000 0.5000
Ag8 Ag 0.5000 0.1899 0.8101
Ag9 Ag 0.5000 0.5000 0.0000
Ag10 Ag 0.5000 0.8101 0.1899
Ag11 Ag 0.6631 0.1494 0.1494
Ag12 Ag 0.8101 0.1899 0.5000
Ag13 Ag 0.8101 0.5000 0.1899
Ag14 Ag 0.8506 0.3369 0.8506
Ag15 Ag 0.8506 0.8506 0.3369
Hg1 Hg 0.3923 0.3923 0.3923
Hg2 Hg 0.6077 0.6077 0.6077
```

Top 6 peaks for 10° ≤ 2θ ≤ 90°, sorted by position:
Position (°2θ), d [Å], intensity
31.76, 2.817, 65
32.92, 2.721, 46
36.84, 2.440, 87
37.12, 2.422, 100
37.91, 2.373, 68
41.63, 2.170, 91

The following is a theoretical powder XRD pattern of Hf3FeCu. It was derived from a structure optimized by DFT (PBE), using Cu Kα, 1.54184 Å.
Kinematic intensities with the Lorentz-polarization factor, no thermal factor.

Crystal structure
```
data_Hf3FeCu
_chemical_formula_sum 'Hf6 Fe2 Cu2'
_cell_length_a 5.2447
_cell_length_b 5.2447
_cell_length_c 8.4241
_cell_angle_alpha 115.35
_cell_angle_beta 115.35
_cell_angle_gamma 65.12
_symmetry_space_group_name_H-M 'P 1'
_symmetry_Int_Tables_number 1
_symmetry_space_group_name_Hall 'P 1'
loop_
_atom_site_label
_atom_site_type_symbol
_atom_site_fract_x
_atom_site_fract_y
_atom_site_fract_z
Hf1 Hf 0.0546 0.0546 0.2748
Hf2 Hf 0.2922 0.2922 0.7168
Hf3 Hf 0.3026 0.3026 0.1094
Hf4 Hf 0.6974 0.6974 0.8906
Hf5 Hf 0.7078 0.7078 0.2832
Hf6 Hf 0.9454 0.9454 0.7252
Fe1 Fe 0.2522 0.7478 0.0000
Fe2 Fe 0.7478 0.2522 0.0000
Cu1 Cu 0.2944 0.7056 0.5000
Cu2 Cu 0.7056 0.2944 0.5000
```

Top 6 peaks for 10° ≤ 2θ ≤ 90°, sorted by position:
Position (°2θ), d [Å], intensity
31.70, 2.822, 74
34.79, 2.578, 63
35.01, 2.563, 100
36.08, 2.489, 82
36.43, 2.466, 64
40.49, 2.228, 78

The following is a theoretical powder XRD pattern of Ho7PbS5. It was derived from a structure optimized by DFT (PBE), using Cu Kα, 1.54184 Å.
Kinematic intensities with the Lorentz-polarization factor, no thermal factor.

Crystal structure
```
data_Ho7PbS5
_chemical_formula_sum 'Ho14 Pb2 S10'
_cell_length_a 6.7522
_cell_length_b 6.7522
_cell_length_c 23.3792
_cell_angle_alpha 90.00
_cell_angle_beta 90.00
_cell_angle_gamma 146.14
_symmetry_space_group_name_H-M 'P 1'
_symmetry_Int_Tables_number 1
_symmetry_space_group_name_Hall 'P 1'
loop_
_atom_site_label
_atom_site_type_symbol
_atom_site_fract_x
_atom_site_fract_y
_atom_site_fract_z
Ho1 Ho 0.0124 0.9876 0.7500
Ho2 Ho 0.1370 0.8630 0.0359
Ho3 Ho 0.1370 0.8630 0.4641
Ho4 Ho 0.3255 0.6745 0.6714
Ho5 Ho 0.3255 0.6745 0.8286
Ho6 Ho 0.4065 0.5935 0.1105
Ho7 Ho 0.4065 0.5935 0.3895
Ho8 Ho 0.5935 0.4065 0.6105
Ho9 Ho 0.5935 0.4065 0.8895
Ho10 Ho 0.6745 0.3255 0.1714
Ho11 Ho 0.6745 0.3255 0.3286
Ho12 Ho 0.8630 0.1370 0.5359
Ho13 Ho 0.8630 0.1370 0.9641
Ho14 Ho 0.9876 0.0124 0.2500
Pb1 Pb 0.3027 0.6973 0.2500
Pb2 Pb 0.6973 0.3027 0.7500
S1 S 0.0435 0.9565 0.1388
S2 S 0.0435 0.9565 0.3612
S3 S 0.2267 0.7733 0.5697
S4 S 0.2267 0.7733 0.9303
S5 S 0.5000 0.5000 0.0000
S6 S 0.5000 0.5000 0.5000
S7 S 0.7733 0.2267 0.0697
S8 S 0.7733 0.2267 0.4303
S9 S 0.9565 0.0435 0.6388
S10 S 0.9565 0.0435 0.8612
```

Top 6 peaks for 10° ≤ 2θ ≤ 90°, sorted by position:
Position (°2θ), d [Å], intensity
28.21, 3.163, 41
30.12, 2.967, 91
30.51, 2.930, 48
31.75, 2.818, 100
32.92, 2.721, 53
56.12, 1.639, 32

The following is a theoretical powder XRD pattern of Li7Pd2Au3. It was derived from a structure optimized by DFT (PBE), using Cu Kα, 1.54184 Å.
Kinematic intensities with the Lorentz-polarization factor, no thermal factor.

Crystal structure
```
data_Li7Pd2Au3
_chemical_formula_sum 'Li7 Pd2 Au3'
_cell_length_a 4.1305
_cell_length_b 3.9317
_cell_length_c 11.9669
_cell_angle_alpha 90.00
_cell_angle_beta 99.77
_cell_angle_gamma 90.00
_symmetry_space_group_name_H-M 'P 1'
_symmetry_Int_Tables_number 1
_symmetry_space_group_name_Hall 'P 1'
loop_
_atom_site_label
_atom_site_type_symbol
_atom_site_fract_x
_atom_site_fract_y
_atom_site_fract_z
Li1 Li 0.0000 0.0000 0.0000
Li2 Li 0.0833 0.5000 0.1657
Li3 Li 0.2249 0.5000 0.4498
Li4 Li 0.4151 0.0000 0.8309
Li5 Li 0.5849 0.0000 0.1691
Li6 Li 0.7751 0.5000 0.5502
Li7 Li 0.9167 0.5000 0.8343
Pd1 Pd 0.3434 0.5000 0.6857
Pd2 Pd 0.6566 0.5000 0.3143
Au1 Au 0.1546 0.0000 0.3106
Au2 Au 0.5000 0.5000 0.0000
Au3 Au 0.8454 0.0000 0.6894
```

Top 6 peaks for 10° ≤ 2θ ≤ 90°, sorted by position:
Position (°2θ), d [Å], intensity
22.62, 3.931, 100
24.34, 3.657, 41
31.65, 2.827, 88
33.47, 2.678, 42
41.52, 2.175, 84
46.18, 1.966, 32